Nd8Ga3CuBr4: simulated XRD peak list (λ = 1.5418 Å (Cu Kα)), based on DFT lattice parameters and positions (GGA-PBE).
Lines closer than 0.1° are merged.

```
data_Nd8Ga3CuBr4
_cell_length_a 8.5296
_cell_length_b 8.5296
_cell_length_c 8.7904
_cell_angle_alpha 119.12
_cell_angle_beta 119.12
_cell_angle_gamma 59.88
_space_group_name_H-M_alt 'P 1'
_space_group_IT_number 1
loop_
_space_group_symop_operation_xyz
'x,y,z'
loop_
_atom_site_label
_atom_site_fract_x
_atom_site_fract_y
_atom_site_fract_z
Nd1 0.2400 0.2400 0.7262
Nd2 0.2399 0.7460 0.7259
Nd3 0.2540 0.7601 0.2741
Nd4 0.2563 0.2563 0.2687
Nd5 0.7437 0.7437 0.7313
Nd6 0.7460 0.2399 0.7259
Nd7 0.7601 0.2540 0.2741
Nd8 0.7600 0.7600 0.2738
Ga1 0.0000 0.5000 0.5000
Ga2 0.5000 0.0000 0.5000
Ga3 0.5000 0.5000 0.5000
Cu1 0.0000 0.0000 0.5000
Br1 0.0000 0.0000 0.0000
Br2 0.0000 0.5000 0.0000
Br3 0.5000 0.0000 0.0000
Br4 0.5000 0.5000 0.0000
```

Top 10 peaks for 10° ≤ 2θ ≤ 90°, low angle first:
two_theta	I_rel
25.47	13
29.21	100
41.15	37
42.41	37
50.16	8
52.37	14
60.58	14
67.77	10
69.52	12
76.79	8

***

TbAlPdPt: simulated XRD peak list (λ = 1.5418 Å (Cu Kα)), based on DFT lattice parameters and positions (GGA-PBE).
Lines closer than 0.1° are merged.

```
data_TbAlPdPt
_cell_length_a 6.6375
_cell_length_b 6.6375
_cell_length_c 6.6375
_cell_angle_alpha 90.00
_cell_angle_beta 90.00
_cell_angle_gamma 90.00
_space_group_name_H-M_alt 'P 1'
_space_group_IT_number 1
loop_
_space_group_symop_operation_xyz
'x,y,z'
loop_
_atom_site_label
_atom_site_fract_x
_atom_site_fract_y
_atom_site_fract_z
Tb1 0.0000 0.0000 0.0000
Tb2 0.0000 0.5000 0.5000
Tb3 0.5000 0.0000 0.5000
Tb4 0.5000 0.5000 0.0000
Al1 0.0000 0.0000 0.5000
Al2 0.0000 0.5000 0.0000
Al3 0.5000 0.0000 0.0000
Al4 0.5000 0.5000 0.5000
Pd1 0.2500 0.2500 0.2500
Pd2 0.2500 0.7500 0.7500
Pd3 0.7500 0.2500 0.7500
Pd4 0.7500 0.7500 0.2500
Pt1 0.2500 0.2500 0.7500
Pt2 0.2500 0.7500 0.2500
Pt3 0.7500 0.2500 0.2500
Pt4 0.7500 0.7500 0.7500
```

Top 10 peaks for 10° ≤ 2θ ≤ 90°, low angle first:
two_theta	I_rel
23.21	24
26.86	7
38.36	100
45.31	13
55.37	17
60.83	5
69.36	35
74.24	4
82.15	11
86.81	4

***

Re2TcIrF: simulated XRD peak list (λ = 1.5418 Å (Cu Kα)), based on DFT lattice parameters and positions (GGA-PBE).
Lines closer than 0.1° are merged.

```
data_Re2TcIrF
_cell_length_a 4.7102
_cell_length_b 4.7102
_cell_length_c 3.7744
_cell_angle_alpha 90.00
_cell_angle_beta 90.00
_cell_angle_gamma 90.00
_space_group_name_H-M_alt 'P 1'
_space_group_IT_number 1
loop_
_space_group_symop_operation_xyz
'x,y,z'
loop_
_atom_site_label
_atom_site_fract_x
_atom_site_fract_y
_atom_site_fract_z
Re1 0.0000 0.5000 0.0000
Re2 0.5000 0.0000 0.0000
Tc1 0.0000 0.0000 0.0000
Ir1 0.5000 0.5000 0.5000
F1 0.0000 0.0000 0.5000
```

Top 10 peaks for 10° ≤ 2θ ≤ 90°, low angle first:
two_theta	I_rel
23.57	22
30.35	50
35.96	100
38.22	86
48.22	22
49.56	26
55.15	30
63.13	39
67.62	32
76.25	23

***

K2PmMgF6: simulated XRD peak list (λ = 1.5418 Å (Cu Kα)), based on DFT lattice parameters and positions (GGA-PBE).
Lines closer than 0.1° are merged.

```
data_K2PmMgF6
_cell_length_a 6.1842
_cell_length_b 6.1842
_cell_length_c 5.8173
_cell_angle_alpha 117.33
_cell_angle_beta 117.33
_cell_angle_gamma 65.07
_space_group_name_H-M_alt 'P 1'
_space_group_IT_number 1
loop_
_space_group_symop_operation_xyz
'x,y,z'
loop_
_atom_site_label
_atom_site_fract_x
_atom_site_fract_y
_atom_site_fract_z
K1 0.2247 0.2247 0.2241
K2 0.7753 0.7753 0.7759
Pm1 0.5000 0.5000 0.0000
Mg1 0.0000 0.0000 0.5000
F1 0.2065 0.7896 0.7565
F2 0.2104 0.7935 0.2435
F3 0.2369 0.2369 0.7302
F4 0.7631 0.7631 0.2698
F5 0.7896 0.2065 0.7565
F6 0.7935 0.2104 0.2435
```

Top 10 peaks for 10° ≤ 2θ ≤ 90°, low angle first:
two_theta	I_rel
16.75	34
18.18	38
18.45	39
20.29	87
26.81	44
28.68	64
29.03	61
30.74	28
33.57	21
41.25	100

***

TbPaAsC: simulated XRD peak list (λ = 1.5418 Å (Cu Kα)), based on DFT lattice parameters and positions (GGA-PBE).
Lines closer than 0.1° are merged.

```
data_TbPaAsC
_cell_length_a 13.4456
_cell_length_b 13.4456
_cell_length_c 13.4456
_cell_angle_alpha 17.18
_cell_angle_beta 17.18
_cell_angle_gamma 17.18
_space_group_name_H-M_alt 'P 1'
_space_group_IT_number 1
loop_
_space_group_symop_operation_xyz
'x,y,z'
loop_
_atom_site_label
_atom_site_fract_x
_atom_site_fract_y
_atom_site_fract_z
Tb1 0.2070 0.2070 0.2070
Tb2 0.7930 0.7930 0.7930
Pa1 0.3691 0.3691 0.3691
Pa2 0.6309 0.6309 0.6309
As1 0.0872 0.0872 0.0872
As2 0.9128 0.9128 0.9128
C1 0.3107 0.3107 0.3107
C2 0.6893 0.6893 0.6893
```

Top 10 peaks for 10° ≤ 2θ ≤ 90°, low angle first:
two_theta	I_rel
26.93	23
27.16	30
28.00	30
30.13	100
35.84	25
41.05	17
45.15	46
50.95	17
53.35	22
55.24	19

***

Sm2MgCu2Pt5: simulated XRD peak list (λ = 1.5418 Å (Cu Kα)), based on DFT lattice parameters and positions (GGA-PBE).
Lines closer than 0.1° are merged.

```
data_Sm2MgCu2Pt5
_cell_length_a 9.4837
_cell_length_b 9.4837
_cell_length_c 3.9415
_cell_angle_alpha 90.00
_cell_angle_beta 90.00
_cell_angle_gamma 90.00
_space_group_name_H-M_alt 'P 1'
_space_group_IT_number 1
loop_
_space_group_symop_operation_xyz
'x,y,z'
loop_
_atom_site_label
_atom_site_fract_x
_atom_site_fract_y
_atom_site_fract_z
Sm1 0.1764 0.3236 0.0000
Sm2 0.3236 0.8236 0.0000
Sm3 0.6764 0.1764 0.0000
Sm4 0.8236 0.6764 0.0000
Mg1 0.0000 0.0000 0.0000
Mg2 0.5000 0.5000 0.0000
Cu1 0.1204 0.6204 0.0000
Cu2 0.3796 0.1204 0.0000
Cu3 0.6204 0.8796 0.0000
Cu4 0.8796 0.3796 0.0000
Pt1 0.0000 0.5000 0.5000
Pt2 0.0694 0.7938 0.5000
Pt3 0.2062 0.0694 0.5000
Pt4 0.2938 0.5694 0.5000
Pt5 0.4306 0.2938 0.5000
Pt6 0.5000 0.0000 0.5000
Pt7 0.5694 0.7062 0.5000
Pt8 0.7062 0.4306 0.5000
Pt9 0.7938 0.9306 0.5000
Pt10 0.9306 0.2062 0.5000
```

Top 10 peaks for 10° ≤ 2θ ≤ 90°, low angle first:
two_theta	I_rel
22.56	27
30.97	41
35.14	19
37.69	100
39.16	66
40.35	22
41.26	56
46.06	35
62.01	35
66.74	19